1.
This entry pairs a crystal structure of MgAl6FeSi2B2O18 with its calculated powder X-ray diffraction pattern. Radiation: a wavelength of 1.5418 Å. Structure: a DFT-relaxed cell (PBE+U, Alexandria).
Lines closer than 0.1° are merged.

Structural model:
Lattice parameters (Å, degrees): 5.8355 10.4293 11.1693 90.00 90.00 90.00
Space group Pmc2_1 (No. 26)
Unique sites:
Mg 0.0000 0.1575 0.0000
Al 0.0000 0.0240 0.2280
Al 0.2500 0.2487 0.7816
Al 0.2503 0.2508 0.2782
Al 0.5000 0.4769 0.3320
Fe 0.5000 0.3413 0.5614
Si 0.0000 0.1825 0.5430
Si 0.5000 0.3144 0.0154
B 0.0000 0.4998 0.2807
B 0.5000 0.0020 0.2784
O 0.0000 0.0244 0.5690
O 0.0000 0.1303 0.8032
O 0.0000 0.2039 0.1805
O 0.0000 0.2222 0.4005
O 0.0000 0.3703 0.7853
O 0.2037 0.4316 0.2795
O 0.2243 0.2417 0.6111
O 0.2728 0.2541 0.9512
O 0.2961 0.0700 0.2786
O 0.5000 0.1278 0.7759
O 0.5000 0.2773 0.1586
O 0.5000 0.2970 0.3758
O 0.5000 0.3665 0.7611
O 0.5000 0.4721 0.9887

Largest 10 diffraction maxima, in order of rising 2θ, 10° ≤ 2θ ≤ 80°:
- hkl 0 0 2, d = 5.585 Å, rel. 51.6
- hkl 0 2 0, d = 5.215 Å, rel. 82.5
- hkl 1 1 0, d = 5.093 Å, rel. 100.0
- hkl 1 1 2, d = 3.763 Å, rel. 38.6
- hkl 1 3 0, d = 2.987 Å, rel. 21.5
- hkl 0 0 4, d = 2.792 Å, rel. 54.1
- hkl 1 3 2, d = 2.634 Å, rel. 24.0
- hkl 2 0 2, d = 2.586 Å, rel. 21.5
- hkl 2 3 1, d = 2.191 Å, rel. 25.8
- hkl 2 6 0, d = 1.493 Å, rel. 22.5

***

2.
This entry pairs a crystal structure of AlFeB2Pb2O8 with its calculated powder X-ray diffraction pattern. Radiation: a wavelength of 1.5418 Å. Structure: a DFT-relaxed cell (PBE+U, Alexandria).
Lines closer than 0.1° are merged.

Structural model:
Lattice parameters (Å, degrees): 5.9690 7.2116 10.0720 90.00 125.36 90.00
Space group P2_1/c (No. 14)
Unique sites:
Al 0.0000 0.0000 0.0000
Fe 0.5000 0.0000 0.0000
B 0.0087 0.2251 0.2625
Pb 0.3967 0.5760 0.1397
O 0.1351 0.1697 0.1882
O 0.1453 0.1704 0.9043
O 0.2615 0.6715 0.3071
O 0.3511 0.5970 0.6151

Largest 10 diffraction maxima, in order of rising 2θ, 10° ≤ 2θ ≤ 80°:
- hkl 1 0 0, d = 4.868 Å, rel. 75.9
- hkl 1 0 -2, d = 4.789 Å, rel. 41.3
- hkl 0 2 1, d = 3.302 Å, rel. 47.7
- hkl 1 1 1, d = 3.085 Å, rel. 100.0
- hkl 1 1 -3, d = 3.043 Å, rel. 73.6
- hkl 2 0 -2, d = 2.984 Å, rel. 28.9
- hkl 1 2 0, d = 2.898 Å, rel. 31.1
- hkl 2 1 -3, d = 2.602 Å, rel. 33.6
- hkl 0 1 3, d = 2.560 Å, rel. 40.0
- hkl 0 3 2, d = 2.075 Å, rel. 31.7